1.
Diffraction record for Rb2PaBe2S6. The X-ray diffraction stick pattern is computed, not measured: it uses a DFT-relaxed cell (PBE, Alexandria) and CuKα.
Kinematic intensities with the Lorentz-polarization factor, no thermal factor.

Peak list (8 most intense, 2θ = 5–70°, by intensity)
2θ = 15.07°, rel. 100; 2θ = 25.93°, rel. 80; 2θ = 33.97°, rel. 74; 2θ = 25.16°, rel. 64; 2θ = 22.45°, rel. 53; 2θ = 47.04°, rel. 35; 2θ = 44.80°, rel. 33; 2θ = 39.11°, rel. 30

Cell and atoms:
a b c (Å): 8.034 8.034 8.034
angles (deg): 52.28 52.28 52.28
Element x y z (fractional)
Rb 0.221 0.221 0.221
Rb 0.779 0.779 0.779
Pa 0.000 0.000 0.000
Be 0.408 0.408 0.408
Be 0.592 0.592 0.592
S 0.248 0.248 0.735
S 0.248 0.735 0.248
S 0.265 0.752 0.752
S 0.735 0.248 0.248
S 0.752 0.265 0.752
S 0.752 0.752 0.265

2.
Diffraction record for La5NdAu6. The X-ray diffraction stick pattern is computed, not measured: it uses a DFT-relaxed cell (PBE, Alexandria) and CuKα.
Kinematic intensities with the Lorentz-polarization factor, no thermal factor.

Peak list (8 most intense, 2θ = 5–70°, by intensity)
2θ = 33.68°, rel. 100; 2θ = 33.47°, rel. 51; 2θ = 59.94°, rel. 29; 2θ = 60.37°, rel. 19; 2θ = 48.05°, rel. 19; 2θ = 60.02°, rel. 10; 2θ = 48.69°, rel. 9; 2θ = 23.49°, rel. 4

Cell and atoms:
a b c (Å): 9.248 9.248 5.360
angles (deg): 106.78 106.78 47.71
Element x y z (fractional)
La 0.000 0.000 0.000
La 0.166 0.166 0.666
La 0.332 0.332 0.332
La 0.668 0.668 0.668
La 0.834 0.834 0.334
Nd 0.500 0.500 0.000
Au 0.089 0.581 0.835
Au 0.258 0.742 0.500
Au 0.419 0.911 0.165
Au 0.581 0.089 0.835
Au 0.742 0.258 0.500
Au 0.911 0.419 0.165

3.
Diffraction record for BaNdEuNbO6. The X-ray diffraction stick pattern is computed, not measured: it uses a DFT-relaxed cell (PBE, Alexandria) and CuKα.
Kinematic intensities with the Lorentz-polarization factor, no thermal factor.

Peak list (8 most intense, 2θ = 5–70°, by intensity)
2θ = 29.55°, rel. 100; 2θ = 29.31°, rel. 96; 2θ = 29.71°, rel. 95; 2θ = 42.28°, rel. 49; 2θ = 52.80°, rel. 33; 2θ = 52.25°, rel. 31; 2θ = 42.17°, rel. 25; 2θ = 52.49°, rel. 20

Cell and atoms:
a b c (Å): 6.018 6.090 8.554
angles (deg): 89.48 89.37 89.84
Element x y z (fractional)
Ba 0.005 0.030 0.250
Ba 0.995 0.970 0.750
Nd 0.000 0.500 0.000
Nd 0.500 0.000 0.500
Eu 0.487 0.541 0.248
Eu 0.513 0.459 0.752
Nb 0.000 0.500 0.500
Nb 0.500 0.000 0.000
O 0.100 0.502 0.729
O 0.199 0.763 0.458
O 0.229 0.807 0.031
O 0.266 0.305 0.444
O 0.317 0.277 0.053
O 0.432 0.049 0.770
O 0.568 0.951 0.230
O 0.683 0.723 0.947
O 0.734 0.695 0.556
O 0.771 0.193 0.969
O 0.801 0.237 0.542
O 0.900 0.498 0.271

4.
Diffraction record for TbInSnCl6. The X-ray diffraction stick pattern is computed, not measured: it uses a DFT-relaxed cell (PBE, Alexandria) and CuKα.
Kinematic intensities with the Lorentz-polarization factor, no thermal factor.

Peak list (8 most intense, 2θ = 5–70°, by intensity)
2θ = 19.23°, rel. 100; 2θ = 36.22°, rel. 72; 2θ = 24.50°, rel. 33; 2θ = 27.85°, rel. 31; 2θ = 40.17°, rel. 31; 2θ = 43.13°, rel. 29; 2θ = 31.34°, rel. 27; 2θ = 13.04°, rel. 23

Cell and atoms:
a b c (Å): 7.266 7.266 6.788
angles (deg): 90.00 90.00 120.00
Element x y z (fractional)
Tb 0.000 0.000 0.000
In 0.333 0.667 0.500
Sn 0.667 0.333 0.000
Cl 0.313 0.022 0.224
Cl 0.313 0.291 0.776
Cl 0.709 0.022 0.776
Cl 0.709 0.687 0.224
Cl 0.978 0.291 0.224
Cl 0.978 0.687 0.776

5.
Diffraction record for Sm3ErGa4. The X-ray diffraction stick pattern is computed, not measured: it uses a DFT-relaxed cell (PBE, Alexandria) and CuKα.
Kinematic intensities with the Lorentz-polarization factor, no thermal factor.

Peak list (8 most intense, 2θ = 5–70°, by intensity)
2θ = 35.03°, rel. 100; 2θ = 62.85°, rel. 36; 2θ = 24.58°, rel. 16; 2θ = 50.43°, rel. 12; 2θ = 50.29°, rel. 6; 2θ = 43.26°, rel. 5; 2θ = 56.81°, rel. 4; 2θ = 56.89°, rel. 2

Cell and atoms:
a b c (Å): 3.619 3.619 14.514
angles (deg): 90.00 90.00 90.00
Element x y z (fractional)
Sm 0.000 0.000 0.000
Sm 0.000 0.000 0.255
Sm 0.000 0.000 0.745
Er 0.000 0.000 0.500
Ga 0.500 0.500 0.128
Ga 0.500 0.500 0.384
Ga 0.500 0.500 0.616
Ga 0.500 0.500 0.872

6.
Diffraction record for Ac2NdCo3. The X-ray diffraction stick pattern is computed, not measured: it uses a DFT-relaxed cell (PBE, Alexandria) and CuKα.
Kinematic intensities with the Lorentz-polarization factor, no thermal factor.

Peak list (8 most intense, 2θ = 5–70°, by intensity)
2θ = 28.40°, rel. 100; 2θ = 36.71°, rel. 39; 2θ = 44.15°, rel. 27; 2θ = 36.87°, rel. 19; 2θ = 47.15°, rel. 16; 2θ = 46.97°, rel. 9; 2θ = 61.16°, rel. 8; 2θ = 58.81°, rel. 8

Cell and atoms:
a b c (Å): 8.457 8.457 4.690
angles (deg): 90.00 90.00 60.29
Element x y z (fractional)
Ac 0.009 0.667 0.750
Ac 0.333 0.991 0.750
Ac 0.667 0.009 0.250
Ac 0.991 0.333 0.250
Nd 0.343 0.657 0.250
Nd 0.657 0.343 0.750
Co 0.000 0.000 0.000
Co 0.000 0.000 0.500
Co 0.338 0.338 0.000
Co 0.338 0.338 0.500
Co 0.662 0.662 0.000
Co 0.662 0.662 0.500

7.
Diffraction record for Na3As. The X-ray diffraction stick pattern is computed, not measured: it uses a DFT-relaxed cell (PBE, Alexandria) and CuKα.
Kinematic intensities with the Lorentz-polarization factor, no thermal factor.

Peak list (8 most intense, 2θ = 5–70°, by intensity)
2θ = 36.01°, rel. 100; 2θ = 35.15°, rel. 97; 2θ = 22.37°, rel. 66; 2θ = 19.59°, rel. 37; 2θ = 40.56°, rel. 37; 2θ = 51.20°, rel. 32; 2θ = 63.63°, rel. 30; 2θ = 20.08°, rel. 27

Cell and atoms:
a b c (Å): 8.844 8.844 9.062
angles (deg): 90.00 90.00 120.00
Element x y z (fractional)
Na 0.000 0.000 0.000
Na 0.000 0.000 0.500
Na 0.000 0.298 0.285
Na 0.000 0.364 0.625
Na 0.000 0.636 0.125
Na 0.000 0.702 0.785
Na 0.298 0.000 0.285
Na 0.298 0.298 0.785
Na 0.333 0.667 0.430
Na 0.333 0.667 0.930
Na 0.364 0.000 0.625
Na 0.364 0.364 0.125
Na 0.636 0.000 0.125
Na 0.636 0.636 0.625
Na 0.667 0.333 0.430
Na 0.667 0.333 0.930
Na 0.702 0.000 0.785
Na 0.702 0.702 0.285
As 0.000 0.330 0.955
As 0.000 0.670 0.455
As 0.330 0.000 0.955
As 0.330 0.330 0.455
As 0.670 0.000 0.455
As 0.670 0.670 0.955

8.
Diffraction record for Er12CdCu6. The X-ray diffraction stick pattern is computed, not measured: it uses a DFT-relaxed cell (PBE, Alexandria) and CuKα.
Kinematic intensities with the Lorentz-polarization factor, no thermal factor.

Peak list (8 most intense, 2θ = 5–70°, by intensity)
2θ = 34.45°, rel. 100; 2θ = 31.82°, rel. 47; 2θ = 58.39°, rel. 35; 2θ = 54.96°, rel. 34; 2θ = 28.98°, rel. 34; 2θ = 36.91°, rel. 20; 2θ = 68.05°, rel. 19; 2θ = 47.59°, rel. 17

Cell and atoms:
a b c (Å): 8.437 8.437 8.437
angles (deg): 109.47 109.47 109.47
Element x y z (fractional)
Er 0.106 0.811 0.295
Er 0.189 0.295 0.484
Er 0.189 0.705 0.894
Er 0.295 0.106 0.811
Er 0.295 0.484 0.189
Er 0.484 0.189 0.295
Er 0.516 0.811 0.705
Er 0.705 0.516 0.811
Er 0.705 0.894 0.189
Er 0.811 0.295 0.106
Er 0.811 0.705 0.516
Er 0.894 0.189 0.705
Cd 0.000 0.000 0.000
Cu 0.125 0.625 0.500
Cu 0.375 0.500 0.875
Cu 0.500 0.125 0.625
Cu 0.500 0.875 0.375
Cu 0.625 0.500 0.125
Cu 0.875 0.375 0.500

9.
Diffraction record for La4Ge3S12. The X-ray diffraction stick pattern is computed, not measured: it uses a DFT-relaxed cell (PBE, Alexandria) and CuKα.
Kinematic intensities with the Lorentz-polarization factor, no thermal factor.

Peak list (8 most intense, 2θ = 5–70°, by intensity)
2θ = 23.95°, rel. 100; 2θ = 34.28°, rel. 51; 2θ = 25.87°, rel. 43; 2θ = 31.72°, rel. 42; 2θ = 36.56°, rel. 27; 2θ = 36.31°, rel. 22; 2θ = 17.56°, rel. 22; 2θ = 47.24°, rel. 21

Cell and atoms:
a b c (Å): 11.672 11.672 11.672
angles (deg): 114.75 114.75 114.75
Element x y z (fractional)
La 0.000 0.000 0.000
La 0.024 0.564 0.788
La 0.064 0.524 0.288
La 0.288 0.064 0.524
La 0.500 0.500 0.500
La 0.524 0.288 0.064
La 0.564 0.788 0.024
La 0.788 0.024 0.564
Ge 0.030 0.856 0.643
Ge 0.143 0.356 0.530
Ge 0.356 0.530 0.143
Ge 0.530 0.143 0.356
Ge 0.643 0.030 0.856
Ge 0.856 0.643 0.030
S 0.110 0.716 0.183
S 0.126 0.311 0.312
S 0.147 0.415 0.872
S 0.183 0.110 0.716
S 0.200 0.912 0.884
S 0.216 0.610 0.683
S 0.311 0.312 0.126
S 0.312 0.126 0.311
S 0.372 0.915 0.647
S 0.384 0.412 0.700
S 0.412 0.700 0.384
S 0.415 0.872 0.147
S 0.610 0.683 0.216
S 0.626 0.812 0.811
S 0.647 0.372 0.915
S 0.683 0.216 0.610
S 0.700 0.384 0.412
S 0.716 0.183 0.110
S 0.811 0.626 0.812
S 0.812 0.811 0.626
S 0.872 0.147 0.415
S 0.884 0.200 0.912
S 0.912 0.884 0.200
S 0.915 0.647 0.372

Copy entry 3 word for word.
Diffraction record for BaNdEuNbO6. The X-ray diffraction stick pattern is computed, not measured: it uses a DFT-relaxed cell (PBE, Alexandria) and CuKα.
Kinematic intensities with the Lorentz-polarization factor, no thermal factor.

Peak list (8 most intense, 2θ = 5–70°, by intensity)
2θ = 29.55°, rel. 100; 2θ = 29.31°, rel. 96; 2θ = 29.71°, rel. 95; 2θ = 42.28°, rel. 49; 2θ = 52.80°, rel. 33; 2θ = 52.25°, rel. 31; 2θ = 42.17°, rel. 25; 2θ = 52.49°, rel. 20

Cell and atoms:
a b c (Å): 6.018 6.090 8.554
angles (deg): 89.48 89.37 89.84
Element x y z (fractional)
Ba 0.005 0.030 0.250
Ba 0.995 0.970 0.750
Nd 0.000 0.500 0.000
Nd 0.500 0.000 0.500
Eu 0.487 0.541 0.248
Eu 0.513 0.459 0.752
Nb 0.000 0.500 0.500
Nb 0.500 0.000 0.000
O 0.100 0.502 0.729
O 0.199 0.763 0.458
O 0.229 0.807 0.031
O 0.266 0.305 0.444
O 0.317 0.277 0.053
O 0.432 0.049 0.770
O 0.568 0.951 0.230
O 0.683 0.723 0.947
O 0.734 0.695 0.556
O 0.771 0.193 0.969
O 0.801 0.237 0.542
O 0.900 0.498 0.271